1.
This entry pairs a crystal structure of Cd5Ag2 with its calculated powder XRD pattern. Radiation: Cu Ka. Structure: a GGA-PBE-relaxed structure.

Structure:
a = 7.288 Å, b = 7.288 Å, c = 7.978 Å
α = 96.44°, β = 96.44°, γ = 42.86°
Fractional positions:
Cd  0.038  0.691  0.038
Cd  0.124  0.445  0.677
Cd  0.184  0.816  0.750
Cd  0.309  0.962  0.462
Cd  0.445  0.124  0.177
Cd  0.555  0.876  0.823
Cd  0.691  0.038  0.538
Cd  0.816  0.184  0.250
Cd  0.876  0.555  0.323
Cd  0.962  0.309  0.962
Ag  0.260  0.595  0.393
Ag  0.405  0.740  0.107
Ag  0.595  0.260  0.893
Ag  0.740  0.405  0.607

Largest 12 diffraction maxima, in order of rising 2θ, 2θ from 10° to 90°:
d 2.721, 2θ = 32.9°, intensity 23
d 2.663, 2θ = 33.7°, intensity 13
d 2.425, 2θ = 37.1°, intensity 35
d 2.373, 2θ = 37.9°, intensity 100
d 2.334, 2θ = 38.6°, intensity 44
d 1.810, 2θ = 50.4°, intensity 13
d 1.583, 2θ = 58.3°, intensity 9
d 1.548, 2θ = 59.7°, intensity 16
d 1.390, 2θ = 67.4°, intensity 17
d 1.325, 2θ = 71.1°, intensity 9
d 1.310, 2θ = 72.1°, intensity 13
d 1.305, 2θ = 72.4°, intensity 18



2.
This entry pairs a crystal structure of Cd4Ag with its calculated powder XRD pattern. Radiation: Cu Ka. Structure: a GGA-PBE-relaxed structure.

Structure:
a = 3.247 Å, b = 4.337 Å, c = 15.018 Å
α = 90.00°, β = 90.00°, γ = 90.00°
Fractional positions:
Cd  0.000  0.000  0.097
Cd  0.000  0.000  0.302
Cd  0.000  0.000  0.698
Cd  0.000  0.000  0.903
Cd  0.500  0.500  0.198
Cd  0.500  0.500  0.403
Cd  0.500  0.500  0.597
Cd  0.500  0.500  0.802
Ag  0.000  0.000  0.500
Ag  0.500  0.500  0.000

Largest 12 diffraction maxima, in order of rising 2θ, 2θ from 10° to 90°:
d 2.599, 2θ = 34.5°, intensity 100
d 2.469, 2θ = 36.4°, intensity 86
d 2.205, 2θ = 40.9°, intensity 61
d 2.168, 2θ = 41.7°, intensity 29
d 1.623, 2θ = 56.7°, intensity 11
d 1.546, 2θ = 59.8°, intensity 38
d 1.502, 2θ = 61.8°, intensity 8
d 1.357, 2θ = 69.3°, intensity 24
d 1.321, 2θ = 71.4°, intensity 11
d 1.303, 2θ = 72.6°, intensity 11
d 1.300, 2θ = 72.7°, intensity 31
d 1.235, 2θ = 77.3°, intensity 9



3.
This entry pairs a crystal structure of CeCd6Ag with its calculated powder XRD pattern. Radiation: Cu Ka. Structure: a GGA-PBE-relaxed structure.

Structure:
a = 5.842 Å, b = 5.842 Å, c = 6.581 Å
α = 90.00°, β = 90.00°, γ = 120.00°
Fractional positions:
Ce  0.000  0.000  0.000
Cd  0.000  0.500  0.260
Cd  0.000  0.500  0.740
Cd  0.500  0.000  0.260
Cd  0.500  0.000  0.740
Cd  0.500  0.500  0.260
Cd  0.500  0.500  0.740
Ag  0.000  0.000  0.500

Largest 12 diffraction maxima, in order of rising 2θ, 2θ from 10° to 90°:
d 3.290, 2θ = 27.1°, intensity 14
d 2.758, 2θ = 32.5°, intensity 66
d 2.530, 2θ = 35.5°, intensity 100
d 2.185, 2θ = 41.3°, intensity 34
d 2.006, 2θ = 45.2°, intensity 21
d 1.653, 2θ = 55.6°, intensity 27
d 1.501, 2θ = 61.8°, intensity 10
d 1.461, 2θ = 63.7°, intensity 17
d 1.379, 2θ = 68.0°, intensity 27
d 1.291, 2θ = 73.3°, intensity 12
d 1.265, 2θ = 75.1°, intensity 10
d 1.092, 2θ = 89.8°, intensity 13



Please write out number 1 again, unchanged.
This entry pairs a crystal structure of Cd5Ag2 with its calculated powder XRD pattern. Radiation: Cu Ka. Structure: a GGA-PBE-relaxed structure.

Structure:
a = 7.288 Å, b = 7.288 Å, c = 7.978 Å
α = 96.44°, β = 96.44°, γ = 42.86°
Fractional positions:
Cd  0.038  0.691  0.038
Cd  0.124  0.445  0.677
Cd  0.184  0.816  0.750
Cd  0.309  0.962  0.462
Cd  0.445  0.124  0.177
Cd  0.555  0.876  0.823
Cd  0.691  0.038  0.538
Cd  0.816  0.184  0.250
Cd  0.876  0.555  0.323
Cd  0.962  0.309  0.962
Ag  0.260  0.595  0.393
Ag  0.405  0.740  0.107
Ag  0.595  0.260  0.893
Ag  0.740  0.405  0.607

Largest 12 diffraction maxima, in order of rising 2θ, 2θ from 10° to 90°:
d 2.721, 2θ = 32.9°, intensity 23
d 2.663, 2θ = 33.7°, intensity 13
d 2.425, 2θ = 37.1°, intensity 35
d 2.373, 2θ = 37.9°, intensity 100
d 2.334, 2θ = 38.6°, intensity 44
d 1.810, 2θ = 50.4°, intensity 13
d 1.583, 2θ = 58.3°, intensity 9
d 1.548, 2θ = 59.7°, intensity 16
d 1.390, 2θ = 67.4°, intensity 17
d 1.325, 2θ = 71.1°, intensity 9
d 1.310, 2θ = 72.1°, intensity 13
d 1.305, 2θ = 72.4°, intensity 18